For K4Dy3VO8, the PBE+U geometry in Alexandria gives the theoretical X-ray powder pattern in this record (Cu Kα X-rays).
No peak broadening, texture or thermal motion is included.

Structure:
```
16
Lattice="5.927 -3.389 0.000 5.927 3.389 0.000 -3.932 0.000 6.225" Properties=species:S:1:pos:R:3 pbc="T T T"
K 0.000 0.000 0.000
K 2.963 1.694 0.000
K 2.963 -1.694 0.000
K 5.927 0.000 0.000
Dy -1.966 0.000 3.113
Dy 0.997 1.694 3.113
Dy 0.997 -1.694 3.113
V 3.961 0.000 3.113
O 0.000 0.000 4.277
O 3.041 1.579 4.222
O 1.996 0.000 1.934
O 4.881 1.579 2.003
O 3.041 -1.579 4.222
O 5.925 0.000 4.291
O 4.881 -1.579 2.003
O 7.921 0.000 1.949
```

Main lines, sorted by position (10° ≤ 2θ ≤ 90°):
d = 6.225 Å, I = 100; d = 3.113 Å, I = 40; d = 2.905 Å, I = 21; d = 2.822 Å, I = 27; d = 2.807 Å, I = 52; d = 2.505 Å, I = 39; d = 2.487 Å, I = 76; d = 1.975 Å, I = 14; d = 1.830 Å, I = 38; d = 1.707 Å, I = 24